[1]
# RbMg6Al
Theoretical XRD peak list, Cu Kα (weighted mean of Kα1 and Kα2). Input: a crystal structure in the Materials Project, relaxed with PBE.

Principal peaks in the range 10 to 90 degrees two-theta, in order of rising 2θ:
2theta	Rel. int.	index
14.74	15	0 1 1
22.66	27	1 1 1
29.73	23	0 2 2
30.49	17	0 0 4
34.51	100	1 2 2
34.64	32	2 0 0
35.18	39	1 0 4
53.72	15	0 2 6
61.99	17	3 2 2
65.51	16	2 2 6

Crystal structure
Cell lengths 5.180, 7.000, 11.726 Å; angles 90.00, 90.00, 90.00 degrees
Space group Amm2 (No. 38)
Unique sites:
Rb: 0.000 0.000 0.000 [2 per cell]
Mg: 0.000 0.241 0.743 [4 per cell]
Mg: 0.500 0.000 0.330 [2 per cell]
Mg: 0.500 0.000 0.810 [2 per cell]
Mg: 0.500 0.216 0.577 [4 per cell]
Al: 0.000 0.000 0.509 [2 per cell]

[2]
# Ni3Ag
Theoretical XRD peak list, Cu Kα (weighted mean of Kα1 and Kα2). Input: a crystal structure in the Materials Project, relaxed with PBE.

Principal peaks in the range 10 to 90 degrees two-theta, in order of rising 2θ:
2theta	Rel. int.	index
24.15	3	0 0 2
27.07	8	1 0 1
34.44	2	1 1 0
42.51	100	1 1 2
44.32	2	1 0 3
49.49	47	2 0 0
57.33	2	2 1 1
68.59	2	2 1 3
72.59	28	2 2 0
87.92	33	3 1 2

Crystal structure
Cell lengths 3.682, 3.682, 7.371 Å; angles 90.00, 90.00, 90.00 degrees
Space group I4/mmm (No. 139)
Unique sites:
Ni: 0.000 0.000 0.000 [2 per cell]
Ni: 0.000 0.500 0.250 [4 per cell]
Ag: 0.000 0.000 0.500 [2 per cell]

[3]
# Li10SnP2O12
Theoretical XRD peak list, Cu Kα (weighted mean of Kα1 and Kα2). Input: a crystal structure in the Materials Project, relaxed with PBE.

Principal peaks in the range 10 to 90 degrees two-theta, in order of rising 2θ:
2theta	Rel. int.	index
12.38	49	1 0 0
17.55	86	1 1 0
20.58	70	1 0 2
24.09	100	1 1 2
24.92	59	2 0 0
32.53	75	2 1 2
35.35	32	2 0 3
43.83	36	2 1 4
51.10	42	4 0 0
57.65	41	3 2 4

Crystal structure
Cell lengths 7.147, 7.147, 10.825 Å; angles 90.00, 90.00, 90.00 degrees
Space group P4_2mc (No. 105)
Unique sites:
Li: 0.000 0.000 0.000 [2 per cell]
Li: 0.191 0.267 0.491 [8 per cell]
Li: 0.233 0.300 0.735 [8 per cell]
Li: 0.500 0.500 0.372 [2 per cell]
Sn: 0.000 0.000 0.251 [2 per cell]
P: 0.000 0.500 0.934 [2 per cell]
P: 0.500 0.500 0.119 [2 per cell]
O: 0.000 0.214 0.365 [4 per cell]
O: 0.000 0.221 0.639 [4 per cell]
O: 0.000 0.314 0.009 [4 per cell]
O: 0.183 0.500 0.852 [4 per cell]
O: 0.323 0.500 0.535 [4 per cell]
O: 0.327 0.500 0.206 [4 per cell]

[4]
# HoNi4B
Theoretical XRD peak list, Cu Kα (weighted mean of Kα1 and Kα2). Input: a crystal structure in the Materials Project, relaxed with PBE.

Principal peaks in the range 10 to 90 degrees two-theta, in order of rising 2θ:
2theta	Rel. int.	index
20.71	15	1 0 0
33.18	92	1 0 2
36.28	32	1 1 0
42.14	74	2 0 0
44.96	100	1 1 2
63.31	29	2 1 2
65.65	15	1 1 4
69.66	16	2 0 4
71.35	24	3 0 2
77.03	21	2 2 0

Crystal structure
Cell lengths 4.9519, 4.9519, 6.9492 Å; angles 90.00, 90.00, 120.00 degrees
Space group P6/mmm (No. 191)
Unique sites:
Ho: 0.0000 0.0000 0.0000 [1 per cell]
Ho: 0.0000 0.0000 0.5000 [1 per cell]
Ni: 0.0000 0.5000 0.2083 [6 per cell]
Ni: 0.3333 0.6667 0.5000 [2 per cell]
B: 0.3333 0.6667 0.0000 [2 per cell]

[5]
# Tm2CuO4
Theoretical XRD peak list, Cu Kα (weighted mean of Kα1 and Kα2). Input: a crystal structure in the Materials Project, relaxed with PBE.

Principal peaks in the range 10 to 90 degrees two-theta, in order of rising 2θ:
2theta	Rel. int.	index
24.41	16	1 1 1
32.95	100	1 3 1
45.89	12	0 4 2
47.29	24	2 0 2
58.82	25	1 3 3
58.90	14	3 3 1
61.22	5	1 7 1
69.02	3	0 0 4
69.15	10	4 0 0
78.71	12	3 3 3

Crystal structure
Cell lengths 5.430, 11.529, 5.443 Å; angles 90.00, 90.00, 90.00 degrees
Space group Fmm2 (No. 42)
Unique sites:
Tm: 0.000 0.153 0.000 [8 per cell]
Cu: 0.000 0.000 0.527 [4 per cell]
O: 0.242 0.000 0.786 [8 per cell]
O: 0.250 0.250 0.252 [8 per cell]

[6]
# Ga2CuS2O2
Theoretical XRD peak list, Cu Kα (weighted mean of Kα1 and Kα2). Input: a crystal structure in the Materials Project, relaxed with PBE.

Principal peaks in the range 10 to 90 degrees two-theta, in order of rising 2θ:
2theta	Rel. int.	index
11.77	55	0 0 2
22.69	100	1 0 1
23.66	90	0 0 4
33.42	76	1 1 2
37.21	23	1 0 5
39.50	45	1 1 4
44.65	70	2 0 0
48.20	71	1 1 6
51.15	42	2 0 4
84.88	27	3 1 6

Crystal structure
Cell lengths 4.059, 4.059, 15.039 Å; angles 90.00, 90.00, 90.00 degrees
Space group I4/mmm (No. 139)
Unique sites:
Ga: 0.000 0.500 0.250 [4 per cell]
Cu: 0.000 0.000 0.000 [2 per cell]
S: 0.000 0.000 0.163 [4 per cell]
O: 0.000 0.500 0.000 [4 per cell]

[7]
# CuBiPtS3
Theoretical XRD peak list, Cu Kα (weighted mean of Kα1 and Kα2). Input: a crystal structure in the Materials Project, relaxed with PBE.

Principal peaks in the range 10 to 90 degrees two-theta, in order of rising 2θ:
2theta	Rel. int.	index
13.95	36	0 0 2
27.71	77	1 0 3
29.16	100	1 2 0
30.03	42	1 2 1
31.23	39	0 2 3
39.88	19	1 0 5
42.52	20	0 2 5
46.69	24	0 4 0
48.54	37	2 2 3
55.17	26	1 4 3

Crystal structure
Cell lengths 4.963, 7.781, 12.693 Å; angles 90.00, 90.00, 90.00 degrees
Space group P2_12_12_1 (No. 19)
Unique sites:
Cu: 0.027 0.114 0.441 [4 per cell]
Bi: 0.101 0.115 0.131 [4 per cell]
Pt: 0.005 0.636 0.749 [4 per cell]
S: 0.235 0.639 0.912 [4 per cell]
S: 0.240 0.133 0.912 [4 per cell]
S: 0.241 0.385 0.703 [4 per cell]

[8]
# Er9Fe10Ge10
Theoretical XRD peak list, Cu Kα (weighted mean of Kα1 and Kα2). Input: a crystal structure in the Materials Project, relaxed with PBE.

Principal peaks in the range 10 to 90 degrees two-theta, in order of rising 2θ:
2theta	Rel. int.	index
32.28	78	1 4 1
33.48	52	2 0 0
36.05	77	1 0 5
36.65	100	1 3 4
37.15	87	0 4 4
38.40	49	0 0 6
39.35	70	2 1 3
39.84	61	2 3 1
40.61	35	0 6 0
63.11	36	2 7 3

Crystal structure
Cell lengths 5.352, 13.328, 14.073 Å; angles 90.00, 90.00, 90.00 degrees
Space group Immm (No. 71)
Unique sites:
Er: 0.000 0.000 0.000 [2 per cell]
Er: 0.000 0.147 0.364 [8 per cell]
Er: 0.000 0.281 0.000 [4 per cell]
Er: 0.000 0.500 0.198 [4 per cell]
Fe: 0.000 0.500 0.407 [4 per cell]
Fe: 0.245 0.356 0.346 [16 per cell]
Ge: 0.000 0.000 0.208 [4 per cell]
Ge: 0.000 0.288 0.205 [8 per cell]
Ge: 0.000 0.327 0.500 [4 per cell]
Ge: 0.249 0.000 0.500 [4 per cell]